No. 1
Structure and simulated powder XRD pattern of K2CuBr3 (DFT lattice parameters and positions (PBE); a wavelength of 1.5418 Å).
Neutral-atom scattering factors, no anomalous dispersion.

The 8 most intense peaks (15 to 90 degrees two-theta), sorted by position:
22.54°, d = 3.945 Å, intensity 637; 28.11°, d = 3.174 Å, intensity 824; 28.63°, d = 3.118 Å, intensity 948; 29.48°, d = 3.030 Å, intensity 1000; 30.10°, d = 2.969 Å, intensity 631; 30.95°, d = 2.890 Å, intensity 882; 41.41°, d = 2.180 Å, intensity 735; 45.83°, d = 1.980 Å, intensity 466

Crystal structure
Cell: 12.8137 4.3610 13.3873 Å, 90.00 90.00 90.00°
Fractional positions:
K 0.0120 0.2500 0.1782
K 0.1760 0.2500 0.5158
K 0.3240 0.7500 0.0158
K 0.4880 0.7500 0.6782
K 0.5120 0.2500 0.3218
K 0.6760 0.2500 0.9842
K 0.8240 0.7500 0.4842
K 0.9880 0.7500 0.8218
Cu 0.2455 0.7500 0.3036
Cu 0.2545 0.2500 0.8036
Cu 0.7455 0.7500 0.1964
Cu 0.7545 0.2500 0.6964
Br 0.0615 0.7500 0.3610
Br 0.1325 0.2500 0.9452
Br 0.2253 0.7500 0.7096
Br 0.2747 0.2500 0.2096
Br 0.3675 0.7500 0.4452
Br 0.4385 0.2500 0.8610
Br 0.5615 0.7500 0.1390
Br 0.6325 0.2500 0.5548
Br 0.7253 0.7500 0.7904
Br 0.7747 0.2500 0.2904
Br 0.8675 0.7500 0.0548
Br 0.9385 0.2500 0.6390

=====

No. 2
Structure and simulated powder XRD pattern of K2CuMoBr6 (DFT lattice parameters and positions (PBE); a wavelength of 1.5418 Å).
Neutral-atom scattering factors, no anomalous dispersion.

The 8 most intense peaks (15 to 90 degrees two-theta), sorted by position:
16.73°, d = 5.298 Å, intensity 643; 29.20°, d = 3.059 Å, intensity 601; 33.84°, d = 2.649 Å, intensity 1000; 37.98°, d = 2.369 Å, intensity 333; 48.61°, d = 1.873 Å, intensity 690; 57.71°, d = 1.597 Å, intensity 244; 60.54°, d = 1.529 Å, intensity 232; 81.20°, d = 1.185 Å, intensity 299

Crystal structure
Cell: 7.4924 7.4924 7.4924 Å, 60.00 60.00 60.00°
Fractional positions:
K 0.2500 0.2500 0.2500
K 0.7500 0.7500 0.7500
Cu 0.0000 0.0000 0.0000
Mo 0.5000 0.5000 0.5000
Br 0.2518 0.2518 0.7482
Br 0.2518 0.7482 0.2518
Br 0.2518 0.7482 0.7482
Br 0.7482 0.2518 0.2518
Br 0.7482 0.2518 0.7482
Br 0.7482 0.7482 0.2518

=====

No. 3
Structure and simulated powder XRD pattern of K2NdCuBr6 (DFT lattice parameters and positions (PBE); a wavelength of 1.5418 Å).
Neutral-atom scattering factors, no anomalous dispersion.

The 8 most intense peaks (15 to 90 degrees two-theta), sorted by position:
15.96°, d = 5.553 Å, intensity 785; 27.83°, d = 3.206 Å, intensity 416; 32.24°, d = 2.776 Å, intensity 1000; 36.17°, d = 2.483 Å, intensity 410; 46.24°, d = 1.963 Å, intensity 701; 57.49°, d = 1.603 Å, intensity 237; 76.76°, d = 1.242 Å, intensity 293; 85.71°, d = 1.133 Å, intensity 222

Crystal structure
Cell: 7.8529 7.8529 7.8529 Å, 60.00 60.00 60.00°
Fractional positions:
K 0.2500 0.2500 0.2500
K 0.7500 0.7500 0.7500
Nd 0.0000 0.0000 0.0000
Cu 0.5000 0.5000 0.5000
Br 0.2590 0.2590 0.7410
Br 0.2590 0.7410 0.2590
Br 0.2590 0.7410 0.7410
Br 0.7410 0.2590 0.2590
Br 0.7410 0.2590 0.7410
Br 0.7410 0.7410 0.2590